The following is a theoretical PXRD pattern of Rb3HoCl6. It was derived from a cell relaxed with GGA-PBE, using λ = 1.5418 Å (Cu Kα).

Main lines, in order of falling intensity (5° ≤ 2θ ≤ 70°):
21.90°, I = 100
31.16°, I = 66
38.41°, I = 45
44.65°, I = 45
60.33°, I = 27
50.26°, I = 25
15.44°, I = 22
13.36°, I = 19

Crystal structure
```
10
Lattice="0.000 5.740 5.740 5.740 0.000 5.740 5.740 5.740 0.000" Properties=species:S:1:pos:R:3 pbc="T T T"
Rb 0.000 0.000 0.000
Rb 2.870 2.870 2.870
Rb 8.611 8.611 8.611
Ho 5.740 5.740 5.740
Cl 5.740 5.740 3.117
Cl 5.740 3.117 5.740
Cl 8.363 5.740 5.740
Cl 3.117 5.740 5.740
Cl 5.740 8.363 5.740
Cl 5.740 5.740 8.363
```